1.
Computed X-ray diffraction stick pattern of Pm3Sm4Y4 for Cu Kα, 1.54184 Å, from DFT lattice parameters and positions (GGA-PBE).

Most intense lines, 2θ from 5° to 70°, by angle:
- 2θ = 30.4°, rel. 35
- 2θ = 30.6°, rel. 17
- 2θ = 31.1°, rel. 38
- 2θ = 31.8°, rel. 100
- 2θ = 33.5°, rel. 15
- 2θ = 44.1°, rel. 13
- 2θ = 46.3°, rel. 12
- 2θ = 55.7°, rel. 23
- 2θ = 61.5°, rel. 14
- 2θ = 62.1°, rel. 13

Crystal structure
abc: 10.6913 5.7593 12.1587
angles: 90.00 90.00 90.00
Space group Amm2 (No. 38)
One atom of each set of equivalent atoms:
Pm (0.0000, 0.0000, 0.0000) x2
Pm (0.2954, 0.0000, 0.1503) x4
Sm (0.0000, 0.0000, 0.7054) x2
Sm (0.2101, 0.0000, 0.5021) x4
Sm (0.5000, 0.0000, 0.6295) x2
Y (0.0000, 0.0000, 0.2997) x2
Y (0.2970, 0.0000, 0.8464) x4
Y (0.5000, 0.0000, 0.3593) x2

***

2.
Computed X-ray diffraction stick pattern of Pm4Sm4Y5 for Cu Kα, 1.54184 Å, from DFT lattice parameters and positions (GGA-PBE).

Most intense lines, 2θ from 5° to 70°, by angle:
- 2θ = 9.6°, rel. 4
- 2θ = 23.2°, rel. 2
- 2θ = 30.3°, rel. 100
- 2θ = 35.1°, rel. 34
- 2θ = 35.2°, rel. 17
- 2θ = 50.4°, rel. 12
- 2θ = 50.6°, rel. 24
- 2θ = 60.0°, rel. 28
- 2θ = 60.2°, rel. 14
- 2θ = 63.0°, rel. 12

Crystal structure
abc: 13.0449 13.0449 5.0973
angles: 90.00 90.00 90.00
Space group I4/m (No. 87)
One atom of each set of equivalent atoms:
Pm (0.0777, 0.6159, 0.0000) x8
Sm (0.1539, 0.2303, 0.0000) x8
Y (0.0000, 0.0000, 0.0000) x2
Y (0.0382, 0.8089, 0.5000) x8

***

3.
Computed X-ray diffraction stick pattern of Pm2Sm5Y2 for Cu Kα, 1.54184 Å, from DFT lattice parameters and positions (GGA-PBE).

Most intense lines, 2θ from 5° to 70°, by angle:
- 2θ = 30.2°, rel. 100
- 2θ = 30.3°, rel. 33
- 2θ = 35.0°, rel. 45
- 2θ = 35.2°, rel. 22
- 2θ = 50.3°, rel. 8
- 2θ = 50.5°, rel. 32
- 2θ = 59.8°, rel. 10
- 2θ = 59.9°, rel. 19
- 2θ = 60.0°, rel. 24
- 2θ = 62.8°, rel. 8

Crystal structure
abc: 3.6165 6.2513 14.0455
angles: 90.09 97.22 106.74
Space group P-1 (No. 2)
One atom of each set of equivalent atoms:
Pm (0.0008, 0.3325, 0.1673) x2
Sm (0.0000, 0.0000, 0.5000) x1
Sm (0.3320, 0.8874, 0.2791) x2
Sm (0.3338, 0.2223, 0.9440) x2
Y (0.3331, 0.5562, 0.6101) x2